Record 1
This entry pairs a crystal structure of Tb4Y9Pu with its theoretical X-ray diffraction stick pattern. Radiation: Cu Kα (weighted mean of Kα1 and Kα2). Structure: a cell relaxed with PBE.
No peak broadening, texture or thermal motion is included.

Peak list (8 most intense, 2θ from 10° to 90°, by angle)
| Position (°2θ) | Rel. int. | index |
| --- | --- | --- |
| 22.5 | 21 | 2 0 1 |
| 32.3 | 100 | 2 1 2 |
| 32.6 | 21 | 0 0 4 |
| 32.7 | 28 | 3 0 1 |
| 45.9 | 14 | 4 0 2 |
| 52.7 | 14 | 3 0 5 |
| 56.4 | 13 | 3 3 0 |
| 66.7 | 13 | 3 3 4 |

Structural model:
```
data_Tb4Y9Pu
_chemical_formula_sum 'Tb8 Y18 Pu2'
_cell_length_a 9.7839
_cell_length_b 9.7839
_cell_length_c 11.0020
_cell_angle_alpha 90.00
_cell_angle_beta 90.00
_cell_angle_gamma 120.00
_symmetry_space_group_name_H-M 'P 63/m m c'
_symmetry_Int_Tables_number 194
_symmetry_space_group_name_Hall '-P 6c 2c'
loop_
_atom_site_label
_atom_site_type_symbol
_atom_site_fract_x
_atom_site_fract_y
_atom_site_fract_z
Tb1 Tb 0.0000 0.0000 0.0000
Tb2 Tb 0.1128 0.2256 0.2500
Y1 Y 0.0741 0.5371 0.2500
Y2 Y 0.2097 0.4194 0.5345
Pu1 Pu 0.3333 0.6667 0.7500
```

---

Record 2
This entry pairs a crystal structure of TbYPu2 with its theoretical X-ray diffraction stick pattern. Radiation: Cu Kα (weighted mean of Kα1 and Kα2). Structure: a cell relaxed with PBE.
No peak broadening, texture or thermal motion is included.

Peak list (8 most intense, 2θ from 10° to 90°, by angle)
| Position (°2θ) | Rel. int. | index |
| --- | --- | --- |
| 22.8 | 11 | 2 0 0 |
| 32.5 | 100 | 2 2 0 |
| 46.6 | 19 | 4 0 0 |
| 52.5 | 5 | 4 2 0 |
| 58.0 | 39 | 4 2 2 |
| 68.1 | 12 | 4 4 0 |
| 77.5 | 17 | 6 2 0 |
| 86.5 | 4 | 4 4 4 |

Structural model:
```
data_TbYPu2
_chemical_formula_sum 'Tb4 Y4 Pu8'
_cell_length_a 7.794
_cell_length_b 7.794
_cell_length_c 7.794
_cell_angle_alpha 90.00
_cell_angle_beta 90.00
_cell_angle_gamma 90.00
_symmetry_space_group_name_H-M 'F m -3 m'
_symmetry_Int_Tables_number 225
_symmetry_space_group_name_Hall '-F 4 2 3'
loop_
_atom_site_label
_atom_site_type_symbol
_atom_site_fract_x
_atom_site_fract_y
_atom_site_fract_z
Tb1 Tb 0.000 0.000 0.000
Y1 Y 0.000 0.000 0.500
Pu1 Pu 0.250 0.250 0.250
```

---

Record 3
This entry pairs a crystal structure of Tb5Y8Pu with its theoretical X-ray diffraction stick pattern. Radiation: Cu Kα (weighted mean of Kα1 and Kα2). Structure: a cell relaxed with PBE.
No peak broadening, texture or thermal motion is included.

Peak list (8 most intense, 2θ from 10° to 90°, by angle)
| Position (°2θ) | Rel. int. | index |
| --- | --- | --- |
| 22.1 | 49 | 1 2 1 |
| 28.1 | 46 | 3 1 0 |
| 28.4 | 74 | 3 0 1 |
| 30.9 | 90 | 1 0 3 |
| 32.0 | 38 | 2 2 2 |
| 33.6 | 91 | 3 2 1 |
| 34.4 | 100 | 1 3 2 |
| 38.2 | 44 | 1 4 1 |

Structural model:
```
data_Tb5Y8Pu
_chemical_formula_sum 'Tb10 Y16 Pu2'
_cell_length_a 10.058
_cell_length_b 10.058
_cell_length_c 9.073
_cell_angle_alpha 90.00
_cell_angle_beta 90.00
_cell_angle_gamma 90.00
_symmetry_space_group_name_H-M 'I -4'
_symmetry_Int_Tables_number 82
_symmetry_space_group_name_Hall 'I -4'
loop_
_atom_site_label
_atom_site_type_symbol
_atom_site_fract_x
_atom_site_fract_y
_atom_site_fract_z
Tb1 Tb 0.000 0.000 0.000
Tb2 Tb 0.071 0.159 0.628
Y1 Y 0.027 0.338 0.937
Y2 Y 0.154 0.247 0.287
Pu1 Pu 0.000 0.500 0.250
```